Ba2LiY2Fe4O10: calculated powder diffraction line list (λ = 1.5418 Å (Cu Kα)), based on a cell relaxed with PBE+U.
Neutral-atom scattering factors, no anomalous dispersion.

Principal peaks in the range 10° ≤ 2θ ≤ 90°, by intensity:
2θ (°), Rel. int.
30.67, 100.0
31.95, 87.9
29.22, 56.6
30.50, 40.3
46.93, 33.5
44.67, 28.6
54.38, 21.3
56.24, 17.1
38.32, 16.8
38.48, 15.7

Structural model:
a = 8.122 Å, b = 3.872 Å, c = 8.867 Å
α = 90.00°, β = 92.40°, γ = 90.00°
Fractional coordinates of all 19 atoms:
Ba (0.000, 0.000, 0.000)
Ba (0.458, 0.000, 0.882)
Li (0.426, 0.500, 0.125)
Y (0.470, 0.000, 0.471)
Y (0.950, 0.000, 0.462)
Fe (0.185, 0.500, 0.678)
Fe (0.198, 0.500, 0.283)
Fe (0.703, 0.500, 0.246)
Fe (0.716, 0.500, 0.671)
O (0.164, 0.000, 0.724)
O (0.203, 0.000, 0.365)
O (0.219, 0.500, 0.041)
O (0.439, 0.500, 0.649)
O (0.468, 0.500, 0.328)
O (0.634, 0.500, 0.039)
O (0.695, 0.000, 0.673)
O (0.704, 0.000, 0.335)
O (0.940, 0.500, 0.258)
O (0.942, 0.500, 0.589)

***

Ba2LiY2Fe4O10: calculated powder diffraction line list (λ = 1.5418 Å (Cu Kα)), based on a cell relaxed with PBE+U.
Neutral-atom scattering factors, no anomalous dispersion.

Principal peaks in the range 10° ≤ 2θ ≤ 90°, by intensity:
2θ (°), Rel. int.
30.60, 100.0
31.03, 95.4
31.78, 88.6
46.18, 34.2
44.94, 33.8
56.42, 33.7
55.62, 32.1
38.38, 29.2
54.16, 27.6
39.27, 22.4

Structural model:
a = 3.932 Å, b = 8.068 Å, c = 8.474 Å
α = 90.00°, β = 90.00°, γ = 90.00°
Fractional coordinates of all 19 atoms:
Ba (0.000, 0.233, 0.000)
Ba (0.000, 0.767, 0.000)
Li (0.000, 0.500, 0.201)
Y (0.000, 0.244, 0.561)
Y (0.000, 0.756, 0.561)
Fe (0.500, 0.000, 0.333)
Fe (0.500, 0.000, 0.757)
Fe (0.500, 0.500, 0.380)
Fe (0.500, 0.500, 0.770)
O (0.000, 0.000, 0.406)
O (0.000, 0.000, 0.746)
O (0.000, 0.500, 0.421)
O (0.000, 0.500, 0.762)
O (0.500, 0.000, 0.107)
O (0.500, 0.238, 0.419)
O (0.500, 0.247, 0.760)
O (0.500, 0.500, 0.117)
O (0.500, 0.753, 0.760)
O (0.500, 0.762, 0.419)

***

Ba2LiY2Fe4O10: calculated powder diffraction line list (λ = 1.5418 Å (Cu Kα)), based on a cell relaxed with PBE+U.
Neutral-atom scattering factors, no anomalous dispersion.

Principal peaks in the range 10° ≤ 2θ ≤ 90°, by intensity:
2θ (°), Rel. int.
32.06, 100.0
31.76, 47.2
31.90, 46.2
29.07, 42.0
31.00, 38.3
46.90, 32.0
43.19, 25.5
21.21, 15.2
57.54, 14.4
32.16, 14.0

Structural model:
a = 3.876 Å, b = 8.180 Å, c = 8.422 Å
α = 84.44°, β = 88.34°, γ = 89.39°
Fractional coordinates of all 19 atoms:
Ba (0.000, 0.000, 0.000)
Ba (0.003, 0.906, 0.504)
Li (0.247, 0.563, 0.681)
Y (0.937, 0.430, 0.442)
Y (0.990, 0.451, 0.996)
Fe (0.476, 0.679, 0.232)
Fe (0.477, 0.235, 0.726)
Fe (0.478, 0.193, 0.240)
Fe (0.529, 0.758, 0.832)
O (0.005, 0.361, 0.727)
O (0.026, 0.716, 0.799)
O (0.458, 0.261, 0.461)
O (0.458, 0.617, 0.488)
O (0.490, 0.239, 0.996)
O (0.491, 0.959, 0.257)
O (0.492, 0.583, 0.009)
O (0.525, 0.990, 0.740)
O (0.975, 0.268, 0.228)
O (0.978, 0.627, 0.230)

***

Ba2LiY2Fe4O10: calculated powder diffraction line list (λ = 1.5418 Å (Cu Kα)), based on a cell relaxed with PBE+U.
Neutral-atom scattering factors, no anomalous dispersion.

Principal peaks in the range 10° ≤ 2θ ≤ 90°, by intensity:
2θ (°), Rel. int.
30.81, 100.0
32.99, 80.4
29.54, 55.7
29.86, 46.7
39.51, 30.2
48.86, 30.0
45.81, 23.2
28.18, 22.1
39.71, 20.2
31.03, 17.9

Structural model:
a = 7.924 Å, b = 3.728 Å, c = 9.245 Å
α = 90.00°, β = 90.61°, γ = 90.00°
Fractional coordinates of all 19 atoms:
Ba (0.000, 0.000, 0.000)
Ba (0.492, 0.000, 0.914)
Li (0.961, 0.000, 0.666)
Y (0.464, 0.000, 0.497)
Y (0.947, 0.000, 0.382)
Fe (0.201, 0.500, 0.684)
Fe (0.256, 0.500, 0.250)
Fe (0.678, 0.500, 0.216)
Fe (0.740, 0.500, 0.671)
O (0.181, 0.000, 0.753)
O (0.231, 0.000, 0.341)
O (0.300, 0.500, 0.052)
O (0.459, 0.500, 0.662)
O (0.487, 0.500, 0.351)
O (0.732, 0.000, 0.198)
O (0.737, 0.000, 0.558)
O (0.776, 0.500, 0.881)
O (0.992, 0.500, 0.557)
O (0.997, 0.500, 0.237)

***

BaLuFe4O7: calculated powder diffraction line list (λ = 1.5418 Å (Cu Kα)), based on a cell relaxed with PBE+U.
Neutral-atom scattering factors, no anomalous dispersion.

Principal peaks in the range 10° ≤ 2θ ≤ 90°, by intensity:
2θ (°), Rel. int.
32.76, 100.0
27.87, 93.5
32.91, 48.7
57.65, 33.9
49.26, 28.0
52.42, 26.9
34.31, 24.9
16.96, 20.1
57.46, 16.2
81.55, 15.2

Structural model:
a = 6.396 Å, b = 6.396 Å, c = 6.396 Å
α = 119.80°, β = 119.80°, γ = 90.35°
Fractional coordinates of all 13 atoms:
Ba (0.000, 0.000, 0.000)
Lu (0.750, 0.250, 0.500)
Fe (0.344, 0.629, 0.235)
Fe (0.371, 0.606, 0.715)
Fe (0.394, 0.109, 0.765)
Fe (0.891, 0.656, 0.285)
O (0.011, 0.026, 0.578)
O (0.448, 0.433, 0.422)
O (0.500, 0.500, 0.000)
O (0.504, 0.004, 0.500)
O (0.567, 0.989, 0.014)
O (0.974, 0.552, 0.986)
O (0.996, 0.496, 0.500)

***

BaLuFe4O7: calculated powder diffraction line list (λ = 1.5418 Å (Cu Kα)), based on a cell relaxed with PBE+U.
Neutral-atom scattering factors, no anomalous dispersion.

Principal peaks in the range 10° ≤ 2θ ≤ 90°, by intensity:
2θ (°), Rel. int.
33.05, 100.0
28.08, 60.7
58.04, 36.8
52.93, 35.8
49.69, 25.6
82.41, 20.9
34.57, 17.5
79.85, 13.5
17.09, 12.8
68.44, 11.6

Structural model:
a = 6.356 Å, b = 6.356 Å, c = 6.356 Å
α = 60.00°, β = 60.00°, γ = 60.00°
Fractional coordinates of all 13 atoms:
Ba (0.000, 0.000, 0.000)
Lu (0.750, 0.750, 0.750)
Fe (0.371, 0.371, 0.371)
Fe (0.371, 0.371, 0.887)
Fe (0.371, 0.887, 0.371)
Fe (0.887, 0.371, 0.371)
O (0.500, 0.500, 0.500)
O (0.505, 0.505, 0.995)
O (0.505, 0.995, 0.505)
O (0.505, 0.995, 0.995)
O (0.995, 0.505, 0.505)
O (0.995, 0.505, 0.995)
O (0.995, 0.995, 0.505)

***

Ba2Nd2MgFe4O10: calculated powder diffraction line list (λ = 1.5418 Å (Cu Kα)), based on a cell relaxed with PBE+U.
Neutral-atom scattering factors, no anomalous dispersion.

Principal peaks in the range 10° ≤ 2θ ≤ 90°, by intensity:
2θ (°), Rel. int.
29.34, 100.0
32.55, 95.7
32.74, 57.1
32.15, 46.8
21.53, 44.4
46.14, 39.6
46.54, 31.5
36.01, 28.7
28.75, 23.0
57.77, 22.5

Structural model:
a = 3.935 Å, b = 7.807 Å, c = 9.897 Å
α = 89.81°, β = 79.28°, γ = 89.64°
Fractional coordinates of all 19 atoms:
Ba (0.000, 0.000, 0.000)
Ba (0.222, 0.012, 0.483)
Nd (0.007, 0.511, 0.945)
Nd (0.801, 0.506, 0.344)
Mg (0.181, 0.510, 0.591)
Fe (0.390, 0.756, 0.181)
Fe (0.402, 0.264, 0.164)
Fe (0.600, 0.238, 0.751)
Fe (0.602, 0.781, 0.750)
O (0.106, 0.323, 0.732)
O (0.111, 0.697, 0.730)
O (0.264, 0.343, 0.423)
O (0.264, 0.679, 0.413)
O (0.423, 0.008, 0.189)
O (0.504, 0.713, 0.950)
O (0.506, 0.314, 0.950)
O (0.637, 0.010, 0.659)
O (0.907, 0.321, 0.160)
O (0.909, 0.686, 0.158)

***

Ba2Nd2MgFe4O10: calculated powder diffraction line list (λ = 1.5418 Å (Cu Kα)), based on a cell relaxed with PBE+U.
Neutral-atom scattering factors, no anomalous dispersion.

Principal peaks in the range 10° ≤ 2θ ≤ 90°, by intensity:
2θ (°), Rel. int.
29.37, 100.0
32.63, 93.3
27.52, 47.3
47.59, 40.5
30.01, 39.3
22.55, 28.0
46.04, 24.7
57.26, 24.3
38.26, 22.1
29.89, 21.3

Structural model:
a = 7.915 Å, b = 3.821 Å, c = 10.083 Å
α = 90.00°, β = 94.99°, γ = 90.00°
Fractional coordinates of all 19 atoms:
Ba (0.000, 0.000, 0.000)
Ba (0.495, 0.000, 0.062)
Nd (0.002, 0.000, 0.649)
Nd (0.512, 0.000, 0.538)
Mg (0.008, 0.000, 0.335)
Fe (0.263, 0.500, 0.310)
Fe (0.299, 0.500, 0.796)
Fe (0.683, 0.500, 0.800)
Fe (0.755, 0.500, 0.363)
O (0.030, 0.500, 0.767)
O (0.221, 0.000, 0.442)
O (0.266, 0.500, 0.117)
O (0.278, 0.000, 0.840)
O (0.470, 0.500, 0.665)
O (0.518, 0.500, 0.380)
O (0.739, 0.500, 0.994)
O (0.740, 0.000, 0.733)
O (0.809, 0.000, 0.445)
O (0.974, 0.500, 0.279)

***

Ba2Nd2MgFe4O10: calculated powder diffraction line list (λ = 1.5418 Å (Cu Kα)), based on a cell relaxed with PBE+U.
Neutral-atom scattering factors, no anomalous dispersion.

Principal peaks in the range 10° ≤ 2θ ≤ 90°, by intensity:
2θ (°), Rel. int.
34.02, 100.0
29.76, 96.3
30.86, 59.8
25.69, 37.8
23.00, 36.5
24.67, 34.5
30.54, 29.2
50.63, 26.2
56.15, 25.6
39.66, 24.8

Structural model:
a = 7.856 Å, b = 3.606 Å, c = 11.040 Å
α = 90.00°, β = 100.88°, γ = 90.00°
Fractional coordinates of all 19 atoms:
Ba (0.000, 0.000, 0.000)
Ba (0.073, 0.000, 0.374)
Nd (0.445, 0.000, 0.932)
Nd (0.559, 0.000, 0.421)
Mg (0.976, 0.000, 0.704)
Fe (0.291, 0.500, 0.185)
Fe (0.307, 0.500, 0.634)
Fe (0.689, 0.500, 0.707)
Fe (0.743, 0.500, 0.172)
O (0.013, 0.500, 0.187)
O (0.186, 0.000, 0.635)
O (0.287, 0.500, 0.996)
O (0.341, 0.000, 0.239)
O (0.359, 0.500, 0.461)
O (0.492, 0.500, 0.799)
O (0.691, 0.000, 0.078)
O (0.716, 0.500, 0.351)
O (0.722, 0.000, 0.626)
O (0.948, 0.500, 0.791)

***

BaMg14FeO16: calculated powder diffraction line list (λ = 1.5418 Å (Cu Kα)), based on a cell relaxed with PBE+U.
Neutral-atom scattering factors, no anomalous dispersion.

Principal peaks in the range 10° ≤ 2θ ≤ 90°, by intensity:
2θ (°), Rel. int.
39.88, 100.0
41.15, 90.5
41.41, 85.9
35.15, 71.9
10.09, 64.8
58.64, 53.6
58.84, 53.6
59.80, 50.7
74.31, 46.7
30.23, 34.6

Structural model:
a = 4.521 Å, b = 8.723 Å, c = 8.775 Å
α = 90.00°, β = 90.00°, γ = 90.00°
Fractional coordinates of all 32 atoms:
Ba (0.000, 0.000, 0.000)
Mg (0.000, 0.000, 0.500)
Mg (0.000, 0.259, 0.261)
Mg (0.000, 0.259, 0.739)
Mg (0.000, 0.500, 0.500)
Mg (0.000, 0.741, 0.261)
Mg (0.000, 0.741, 0.739)
Mg (0.500, 0.000, 0.265)
Mg (0.500, 0.000, 0.735)
Mg (0.500, 0.253, 0.500)
Mg (0.500, 0.264, 0.000)
Mg (0.500, 0.500, 0.251)
Mg (0.500, 0.500, 0.749)
Mg (0.500, 0.736, 0.000)
Mg (0.500, 0.747, 0.500)
Fe (0.000, 0.500, 0.000)
O (0.000, 0.000, 0.281)
O (0.000, 0.000, 0.719)
O (0.000, 0.255, 0.500)
O (0.000, 0.279, 0.000)
O (0.000, 0.500, 0.264)
O (0.000, 0.500, 0.736)
O (0.000, 0.721, 0.000)
O (0.000, 0.745, 0.500)
O (0.500, 0.000, 0.000)
O (0.500, 0.000, 0.500)
O (0.500, 0.250, 0.250)
O (0.500, 0.250, 0.750)
O (0.500, 0.500, 0.000)
O (0.500, 0.500, 0.500)
O (0.500, 0.750, 0.250)
O (0.500, 0.750, 0.750)

***

Ba4MgFe4O10: calculated powder diffraction line list (λ = 1.5418 Å (Cu Kα)), based on a cell relaxed with PBE+U.
Neutral-atom scattering factors, no anomalous dispersion.

Principal peaks in the range 10° ≤ 2θ ≤ 90°, by intensity:
2θ (°), Rel. int.
29.39, 100.0
29.63, 98.9
27.85, 75.8
28.95, 71.9
28.45, 66.7
30.83, 65.9
40.36, 44.8
21.60, 37.9
44.01, 33.7
23.59, 33.3

Structural model:
a = 6.181 Å, b = 6.415 Å, c = 9.060 Å
α = 107.78°, β = 106.46°, γ = 90.47°
Fractional coordinates of all 19 atoms:
Ba (0.000, 0.000, 0.000)
Ba (0.137, 0.193, 0.513)
Ba (0.526, 0.515, 0.997)
Ba (0.734, 0.657, 0.525)
Mg (0.992, 0.457, 0.850)
Fe (0.108, 0.542, 0.274)
Fe (0.330, 0.883, 0.766)
Fe (0.583, 0.151, 0.238)
Fe (0.648, 0.155, 0.627)
O (0.012, 0.609, 0.078)
O (0.117, 0.645, 0.757)
O (0.162, 0.192, 0.813)
O (0.165, 0.771, 0.467)
O (0.356, 0.350, 0.276)
O (0.488, 0.935, 0.040)
O (0.634, 0.976, 0.756)
O (0.659, 0.456, 0.736)
O (0.689, 0.039, 0.417)
O (0.851, 0.337, 0.257)